# 1
For Pm2In3Ni2, a cell relaxed with PBE gives the calculated powder diffraction line list in this record (Cu Kα X-rays).
Neutral-atom scattering factors, no anomalous dispersion.

Cell and atoms:
```
Pm2In3Ni2
1.0
5.226 -2.165 0.000
5.226 2.165 0.000
-3.116 0.000 6.761
Pm In Ni
2 3 2
Cartesian
0.605 0.000 1.980
6.731 0.000 4.781
3.676 0.000 0.366
3.668 0.000 3.381
3.660 0.000 6.396
-0.691 0.000 4.754
8.028 0.000 2.007
```

Main lines, by angle (2θ = 15–90°):
2theta, Rel. int.
28.13, 48
31.74, 74
33.03, 99
36.23, 94
37.95, 100
41.74, 78

---

# 2
For Pm3In5Ni2, a cell relaxed with PBE gives the calculated powder diffraction line list in this record (Cu Kα X-rays).
Neutral-atom scattering factors, no anomalous dispersion.

Cell and atoms:
```
Pm3In5Ni2
1.0
10.267 0.000 0.000
0.000 10.267 0.000
0.000 0.000 4.389
Pm In Ni
6 10 4
Cartesian
0.000 0.000 0.000
1.767 3.366 0.000
3.366 8.500 0.000
5.134 5.134 0.000
6.901 1.767 0.000
8.500 6.901 0.000
0.000 5.134 2.194
0.687 8.017 2.194
2.250 0.687 2.194
2.884 5.820 2.194
4.447 2.884 2.194
5.134 0.000 2.194
5.820 7.383 2.194
7.383 4.447 2.194
8.017 9.580 2.194
9.580 2.250 2.194
1.299 6.432 0.000
3.835 1.299 0.000
6.432 8.969 0.000
8.969 3.835 0.000
```

Main lines, by angle (2θ = 15–90°):
2theta, Rel. int.
28.13, 34
32.00, 31
34.36, 100
36.07, 38
37.65, 28
41.13, 31

---

# 3
For PmIn6Ni4, a cell relaxed with PBE gives the calculated powder diffraction line list in this record (Cu Kα X-rays).
Neutral-atom scattering factors, no anomalous dispersion.

Cell and atoms:
```
PmIn6Ni4
1.0
-3.370 3.370 4.810
3.370 -3.370 4.810
3.370 3.370 -4.810
Pm In Ni
1 6 4
Cartesian
0.000 0.000 0.000
3.370 0.000 0.000
1.222 -1.222 2.788
-1.222 1.222 2.788
0.000 3.370 0.000
2.148 2.148 2.022
1.222 1.222 6.832
2.267 2.267 -0.667
1.103 -1.103 5.477
1.103 1.103 4.143
-1.103 1.103 5.477
```

Main lines, by angle (2θ = 15–90°):
2theta, Rel. int.
31.09, 75
32.44, 100
37.75, 41
41.10, 60
41.27, 39
42.09, 40

---

# 4
For PrIn3Ni2, a cell relaxed with PBE gives the calculated powder diffraction line list in this record (Cu Kα X-rays).
Neutral-atom scattering factors, no anomalous dispersion.

Cell and atoms:
```
PrIn3Ni2
1.0
8.644 -2.188 0.000
8.644 2.188 0.000
-3.553 0.000 10.004
Pr In Ni
3 9 6
Cartesian
0.000 0.000 0.000
0.221 0.000 7.021
13.513 0.000 2.982
-0.472 0.000 3.419
2.451 0.000 3.898
5.523 0.000 0.470
3.563 0.000 8.067
6.867 0.000 5.002
10.171 0.000 1.936
8.211 0.000 9.534
11.283 0.000 6.105
14.205 0.000 6.584
3.009 0.000 1.262
4.355 0.000 5.595
7.491 0.000 2.234
6.243 0.000 7.769
9.379 0.000 4.408
10.725 0.000 8.742
```

Main lines, by angle (2θ = 15–90°):
2theta, Rel. int.
29.41, 29
32.73, 100
33.01, 49
37.85, 21
40.01, 25
41.26, 47

---

# 5
For PrIn12Ni5, a cell relaxed with PBE gives the calculated powder diffraction line list in this record (Cu Kα X-rays).
Neutral-atom scattering factors, no anomalous dispersion.

Cell and atoms:
```
PrIn12Ni5
1.0
-4.083 4.439 5.178
4.083 -4.439 5.178
4.083 4.439 -5.178
Pr In Ni
1 12 5
Cartesian
0.000 0.000 0.000
4.083 -1.651 3.429
2.644 2.020 0.000
5.522 2.020 0.000
2.532 4.439 -2.403
1.551 0.000 2.775
0.000 2.788 1.749
4.083 1.651 3.429
2.532 4.439 2.403
1.551 0.000 7.581
-1.439 2.419 5.178
1.439 2.419 5.178
0.000 6.090 1.749
4.083 0.000 1.290
1.425 4.439 0.000
0.000 0.000 5.178
2.658 0.000 5.178
0.000 4.439 3.888
```

Main lines, by angle (2θ = 15–90°):
2theta, Rel. int.
32.17, 35
34.51, 100
34.69, 96
38.73, 69
39.81, 37
65.27, 36

---

# 6
For Pr4In8Ni7, a cell relaxed with PBE gives the calculated powder diffraction line list in this record (Cu Kα X-rays).
Neutral-atom scattering factors, no anomalous dispersion.

Cell and atoms:
```
Pr4In8Ni7
1.0
7.394 -12.115 0.000
7.394 12.115 0.000
0.000 0.000 4.383
Pr In Ni
8 16 14
Cartesian
7.394 9.561 0.000
4.859 4.262 2.192
4.682 0.000 2.192
9.928 4.262 2.192
4.859 -4.262 2.192
10.105 0.000 2.192
9.928 -4.262 2.192
7.394 -9.561 0.000
0.000 0.000 2.192
5.041 6.876 0.000
3.325 2.274 0.000
7.394 6.742 2.192
7.394 4.584 0.000
3.325 -2.274 0.000
9.746 6.876 0.000
7.394 2.090 2.192
7.394 0.000 0.000
7.394 -2.090 2.192
5.041 -6.876 0.000
11.462 2.274 0.000
7.394 -4.584 0.000
7.394 -6.742 2.192
11.462 -2.274 0.000
9.746 -6.876 0.000
5.350 8.400 2.192
2.136 1.309 2.192
1.824 0.000 0.000
2.136 -1.309 2.192
9.437 8.400 2.192
5.965 2.300 0.000
5.965 -2.300 0.000
8.822 2.300 0.000
8.822 -2.300 0.000
5.350 -8.400 2.192
12.651 1.309 2.192
12.963 0.000 0.000
12.651 -1.309 2.192
9.437 -8.400 2.192
```

Main lines, by angle (2θ = 15–90°):
2theta, Rel. int.
30.09, 23
32.49, 33
33.01, 100
36.46, 21
41.21, 60
56.15, 17

---

# 7
For Pr2InNi3, a cell relaxed with PBE gives the calculated powder diffraction line list in this record (Cu Kα X-rays).
Neutral-atom scattering factors, no anomalous dispersion.

Cell and atoms:
```
Pr2InNi3
1.0
0.000 4.401 7.278
4.009 0.000 7.278
4.009 4.401 0.000
Pr In Ni
4 2 6
Cartesian
6.143 4.401 7.278
2.005 2.200 3.639
6.014 6.601 10.918
1.876 4.401 7.278
4.009 4.401 4.878
4.009 4.401 9.679
4.009 4.401 2.299
4.009 2.113 6.090
4.009 2.113 8.467
4.009 6.688 6.090
4.009 6.688 8.467
4.009 4.401 12.258
```

Main lines, by angle (2θ = 15–90°):
2theta, Rel. int.
32.62, 100
33.25, 52
41.02, 25
42.55, 45
53.79, 25
63.84, 25

---

# 8
For PrInNi5, a cell relaxed with PBE gives the calculated powder diffraction line list in this record (Cu Kα X-rays).
Neutral-atom scattering factors, no anomalous dispersion.

Cell and atoms:
```
PrInNi5
1.0
8.205 0.000 0.000
0.000 4.923 0.000
0.000 0.000 10.413
Pr In Ni
4 4 20
Cartesian
2.040 1.231 0.622
2.062 3.692 5.828
6.142 1.231 4.584
6.165 3.692 9.791
1.142 3.692 8.979
2.960 1.231 3.773
5.244 3.692 6.640
7.063 1.231 1.434
0.398 3.692 1.141
0.549 4.922 3.242
0.549 2.462 3.242
0.677 1.231 5.379
1.536 1.231 7.729
2.567 3.692 2.522
3.426 3.692 0.173
3.553 0.001 8.448
3.553 2.460 8.448
3.704 1.231 6.347
4.500 3.692 4.066
4.651 4.922 1.964
4.651 2.462 1.964
4.779 1.231 10.240
5.638 1.231 7.890
6.669 3.692 2.684
7.528 3.692 5.034
7.656 0.001 7.171
7.656 2.460 7.171
7.807 1.231 9.272
```

Main lines, by angle (2θ = 15–90°):
2theta, Rel. int.
36.20, 24
36.50, 23
38.62, 100
43.76, 22
45.18, 27
46.57, 27